Computed PXRD pattern
Compound: AlCo2AgF8
Radiation: CuKα
Structure: a DFT-relaxed cell (GGA+U, Alexandria)
Lines closer than 0.1° are merged.

Structure:
Cell: 4.761 4.777 6.670 Å, 89.72 89.74 87.60°
Sites, in units of the cell vectors:
Al: 0.000 0.000 0.000
Co: 0.499 0.499 0.752
Co: 0.501 0.501 0.248
Ag: 0.000 0.000 0.500
F: 0.199 0.803 0.190
F: 0.201 0.805 0.810
F: 0.275 0.278 0.000
F: 0.322 0.333 0.501
F: 0.678 0.667 0.499
F: 0.725 0.722 0.000
F: 0.799 0.195 0.190
F: 0.801 0.197 0.810

Main lines, in order of falling intensity (2θ = 5–70°):
d = 3.442 Å, rel. 100.0; d = 3.301 Å, rel. 87.5; d = 2.738 Å, rel. 64.4; d = 2.726 Å, rel. 63.9; d = 1.823 Å, rel. 34.4; d = 1.812 Å, rel. 33.6; d = 1.773 Å, rel. 28.2; d = 1.776 Å, rel. 28.1; d = 1.488 Å, rel. 20.9; d = 1.434 Å, rel. 20.3